For NaPb2IO2, a structure optimized by DFT (GGA-PBE) gives the theoretical powder X-ray diffraction pattern in this record (Cu Ka).

Crystal structure
```
NaPb2IO2
1.0
5.1916 -4.9353 0.0000
5.1916 4.9353 0.0000
0.0000 0.0000 6.1960
Na Pb I O
2 4 2 4
Cartesian
5.1916 4.2007 4.6470
5.1916 -4.2007 1.5490
2.7637 1.0776 4.6470
2.7637 -1.0776 1.5490
7.6196 1.0776 4.6470
7.6196 -1.0776 1.5490
5.1916 1.5217 1.5490
5.1916 -1.5217 4.6470
1.6685 0.0000 0.0000
1.6685 0.0000 3.0980
8.7148 0.0000 0.0000
8.7148 0.0000 3.0980
```

Top 10 peaks for 15° ≤ 2θ ≤ 90°, low angle first:
Position (°2θ)  I (rel.)
17.08  17
23.04  17
28.82  100
34.55  11
45.59  12
47.08  10
51.07  23
58.44  9
59.70  10
82.36  9

***

For PmGaOs2C, a structure optimized by DFT (GGA-PBE) gives the theoretical powder X-ray diffraction pattern in this record (Cu Ka).

Crystal structure
```
PmGaOs2C
1.0
2.0405 -5.5120 0.0000
2.0405 5.5120 0.0000
0.0000 0.0000 7.3396
Pm Ga Os C
2 2 4 2
Cartesian
2.0405 4.9752 5.5047
2.0405 -4.9752 1.8349
2.0405 2.9663 1.8349
2.0405 -2.9663 5.5047
2.0405 1.8356 4.1234
2.0405 1.8356 6.8861
2.0405 -1.8356 0.4536
2.0405 -1.8356 3.2162
2.0405 0.0000 0.0000
2.0405 0.0000 3.6698
```

Top 10 peaks for 15° ≤ 2θ ≤ 90°, low angle first:
Position (°2θ)  I (rel.)
16.08  23
32.80  100
33.84  88
34.77  41
35.06  32
40.33  42
43.92  53
44.40  44
60.95  28
61.52  25

***

For CsP7, a structure optimized by DFT (GGA-PBE) gives the theoretical powder X-ray diffraction pattern in this record (Cu Ka).

Crystal structure
```
CsP7
1.0
9.5618 0.0000 0.0000
0.0000 9.8163 0.0000
0.0000 0.0000 9.8024
Cs P
4 28
Cartesian
2.0138 2.4541 0.0000
2.0138 2.4541 4.9012
7.5481 7.3622 0.0000
7.5481 7.3622 4.9012
0.8508 6.7087 2.4506
0.8508 8.0157 7.3518
1.6102 6.2162 6.2288
1.6102 6.2162 8.4748
1.6102 8.5082 1.3276
1.6102 8.5082 3.5736
2.3673 5.1906 2.4506
2.3673 9.5338 7.3518
3.7310 6.7164 5.8114
3.7310 6.7164 8.8921
3.7310 8.0081 0.9102
3.7310 8.0081 3.9910
4.1166 6.4443 2.4506
4.1166 8.2802 7.3518
5.4452 1.5361 2.4506
5.4452 3.3720 7.3518
5.8308 1.8082 5.8114
5.8308 1.8082 8.8921
5.8308 3.0999 0.9102
5.8308 3.0999 3.9910
7.1945 0.2825 2.4506
7.1945 4.6257 7.3518
7.9517 1.3081 6.2288
7.9517 1.3081 8.4748
7.9517 3.6001 1.3276
7.9517 3.6001 3.5736
8.7111 1.8006 2.4506
8.7111 3.1076 7.3518
```

Top 10 peaks for 15° ≤ 2θ ≤ 90°, low angle first:
Position (°2θ)  I (rel.)
18.08  67
18.56  31
22.30  100
25.69  32
26.03  23
27.60  27
28.84  29
29.46  41
31.88  44
39.04  26

***

For LaMn2Ru, a structure optimized by DFT (GGA-PBE) gives the theoretical powder X-ray diffraction pattern in this record (Cu Ka).

Crystal structure
```
LaMn2Ru
1.0
2.0732 1.1970 5.3528
-2.0732 1.1970 5.3528
0.0000 -2.3939 5.3528
La Mn Ru
1 2 1
Cartesian
0.0000 0.0000 0.0000
0.0000 0.0000 3.0479
0.0000 0.0000 8.2200
0.0000 0.0000 12.6165
```

Top 10 peaks for 15° ≤ 2θ ≤ 90°, low angle first:
Position (°2θ)  I (rel.)
25.42  45
33.48  100
37.57  53
43.66  71
56.12  40
58.93  14
63.46  16
69.51  17
73.68  16
80.19  19

***

For Pr6TlGa, a structure optimized by DFT (GGA-PBE) gives the theoretical powder X-ray diffraction pattern in this record (Cu Ka).

Crystal structure
```
Pr6TlGa
1.0
4.9673 0.0000 0.0000
0.0000 4.9673 0.0000
0.0000 0.0000 9.9261
Pr Tl Ga
6 1 1
Cartesian
0.0000 0.0000 0.0000
0.0000 0.0000 4.9630
0.0000 2.4837 2.3983
0.0000 2.4837 7.5277
2.4837 0.0000 2.3983
2.4837 0.0000 7.5277
2.4837 2.4837 4.9630
2.4837 2.4837 0.0000
```

Top 10 peaks for 15° ≤ 2θ ≤ 90°, low angle first:
Position (°2θ)  I (rel.)
19.99  4
26.93  4
31.20  100
36.18  50
52.09  35
61.98  41
65.06  12
76.77  6
85.17  17
87.94  16

***

For PaInRhAu, a structure optimized by DFT (GGA-PBE) gives the theoretical powder X-ray diffraction pattern in this record (Cu Ka).

Crystal structure
```
PaInRhAu
1.0
0.0000 3.4547 3.4547
3.4547 0.0000 3.4547
3.4547 3.4547 0.0000
Pa In Rh Au
1 1 1 1
Cartesian
0.0000 0.0000 0.0000
3.4547 3.4547 3.4547
5.1821 5.1821 5.1821
1.7274 1.7274 1.7274
```

Top 10 peaks for 15° ≤ 2θ ≤ 90°, low angle first:
Position (°2θ)  I (rel.)
22.29  11
36.79  100
43.44  6
53.01  18
58.20  3
66.27  36
70.87  2
78.27  11
82.61  2
89.77  17

***

For NdGa6Pd12, a structure optimized by DFT (GGA-PBE) gives the theoretical powder X-ray diffraction pattern in this record (Cu Ka).

Crystal structure
```
NdGa6Pd12
1.0
5.7629 3.3272 2.8126
-5.7629 3.3272 2.8126
0.0000 -6.6545 2.8126
Nd Ga Pd
1 6 12
Cartesian
0.0000 0.0000 0.0000
0.0000 -2.9210 3.4722
-2.5297 1.4605 3.4722
-2.5297 -1.4605 4.9655
2.5297 1.4605 3.4723
2.5297 -1.4605 4.9655
0.0000 2.9210 4.9655
-2.1840 -3.7828 4.2189
-4.3680 0.0000 4.2189
-1.4306 -0.8260 2.7591
1.4306 -0.8260 2.7591
0.0000 1.6519 2.7591
2.1840 -3.7828 4.2189
-2.1840 3.7828 4.2189
0.0000 -1.6519 5.6787
-1.4306 0.8260 5.6787
1.4306 0.8260 5.6787
4.3680 0.0000 4.2189
2.1840 3.7828 4.2189
```

Top 10 peaks for 15° ≤ 2θ ≤ 90°, low angle first:
Position (°2θ)  I (rel.)
34.08  100
35.52  61
38.91  23
40.83  28
42.07  56
45.04  22
46.75  33
50.58  51
64.69  27
73.91  17